# 1
Pr12DyEr5: computed PXRD pattern (copper Kα), based on a GGA-PBE-relaxed structure.
Kinematic intensities with the Lorentz-polarization factor, no thermal factor.

Crystal structure
a = 10.938 Å, b = 10.938 Å, c = 5.177 Å
α = 90.00°, β = 90.00°, γ = 90.43°
Fractional coordinates of all 18 atoms:
1 Pr 0.002 0.669 0.500
2 Pr 0.164 0.164 0.000
3 Pr 0.169 0.502 0.000
4 Pr 0.331 0.998 0.500
5 Pr 0.335 0.335 0.500
6 Pr 0.498 0.831 0.000
7 Pr 0.502 0.169 0.000
8 Pr 0.665 0.665 0.500
9 Pr 0.669 0.002 0.500
10 Pr 0.831 0.498 0.000
11 Pr 0.836 0.836 0.000
12 Pr 0.998 0.331 0.500
13 Dy 0.500 0.500 0.000
14 Er 0.000 0.000 0.500
15 Er 0.167 0.833 0.000
16 Er 0.333 0.667 0.500
17 Er 0.667 0.333 0.500
18 Er 0.833 0.167 0.000

Main lines, in order of rising 2θ (2θ = 10–90°):
2θ (°)  I/Imax
29.98  100
34.66  34
34.93  17
49.83  12
50.03  24
59.25  29
59.61  14
62.30  12

---

# 2
Pr3DyEr6: computed PXRD pattern (copper Kα), based on a GGA-PBE-relaxed structure.
Kinematic intensities with the Lorentz-polarization factor, no thermal factor.

Crystal structure
a = 6.637 Å, b = 6.637 Å, c = 9.718 Å
α = 111.57°, β = 111.57°, γ = 59.19°
Fractional coordinates of all 10 atoms:
1 Pr 0.000 0.000 0.000
2 Pr 0.072 0.072 0.700
3 Pr 0.928 0.928 0.300
4 Dy 0.500 0.500 0.500
5 Er 0.068 0.561 0.687
6 Er 0.364 0.364 0.079
7 Er 0.439 0.932 0.313
8 Er 0.561 0.068 0.687
9 Er 0.636 0.636 0.921
10 Er 0.932 0.439 0.313

Main lines, in order of rising 2θ (2θ = 10–90°):
2θ (°)  I/Imax
28.54  34
31.10  33
31.30  30
31.55  100
32.23  37
33.40  22
34.10  20
55.40  26

---

# 3
Pr3Dy8Er: computed PXRD pattern (copper Kα), based on a GGA-PBE-relaxed structure.
Kinematic intensities with the Lorentz-polarization factor, no thermal factor.

Crystal structure
a = 6.313 Å, b = 8.509 Å, c = 8.522 Å
α = 84.46°, β = 68.27°, γ = 68.31°
Fractional coordinates of all 12 atoms:
1 Pr 0.000 0.000 0.000
2 Pr 0.000 0.497 0.502
3 Pr 0.663 0.750 0.252
4 Dy 0.000 0.416 0.919
5 Dy 0.330 0.168 0.167
6 Dy 0.330 0.664 0.671
7 Dy 0.334 0.083 0.585
8 Dy 0.337 0.580 0.082
9 Dy 0.665 0.329 0.336
10 Dy 0.665 0.834 0.832
11 Dy 0.998 0.919 0.422
12 Er 0.663 0.250 0.752

Main lines, in order of rising 2θ (2θ = 10–90°):
2θ (°)  I/Imax
28.29  24
31.26  24
32.40  100
42.66  16
50.08  20
56.36  21
60.22  23
60.90  14

---

# 4
Pr7DyEr2: computed PXRD pattern (copper Kα), based on a GGA-PBE-relaxed structure.
Kinematic intensities with the Lorentz-polarization factor, no thermal factor.

Crystal structure
a = 9.388 Å, b = 9.388 Å, c = 5.712 Å
α = 90.00°, β = 90.00°, γ = 123.06°
Fractional coordinates of all 10 atoms:
1 Pr 0.000 0.000 0.000
2 Pr 0.206 0.434 0.000
3 Pr 0.278 0.722 0.500
4 Pr 0.434 0.206 0.000
5 Pr 0.566 0.794 0.000
6 Pr 0.722 0.278 0.500
7 Pr 0.794 0.566 0.000
8 Dy 0.500 0.500 0.500
9 Er 0.205 0.795 0.000
10 Er 0.795 0.205 0.000

Main lines, in order of rising 2θ (2θ = 10–90°):
2θ (°)  I/Imax
15.51  48
26.65  31
29.44  60
31.32  55
32.90  100
34.34  58
43.52  41
56.78  32

---

# 5
PrDy3Er4: computed PXRD pattern (copper Kα), based on a GGA-PBE-relaxed structure.
Kinematic intensities with the Lorentz-polarization factor, no thermal factor.

Crystal structure
a = 11.259 Å, b = 7.254 Å, c = 6.261 Å
α = 90.00°, β = 90.00°, γ = 90.00°
Fractional coordinates of all 16 atoms:
1 Pr 0.000 0.126 0.000
2 Pr 0.500 0.874 0.500
3 Dy 0.000 0.873 0.500
4 Dy 0.250 0.127 0.334
5 Dy 0.250 0.873 0.834
6 Dy 0.500 0.127 0.000
7 Dy 0.750 0.127 0.334
8 Dy 0.750 0.873 0.834
9 Er 0.000 0.377 0.501
10 Er 0.000 0.623 0.001
11 Er 0.248 0.623 0.334
12 Er 0.252 0.377 0.834
13 Er 0.500 0.377 0.501
14 Er 0.500 0.623 0.001
15 Er 0.748 0.377 0.834
16 Er 0.752 0.623 0.334

Main lines, in order of rising 2θ (2θ = 10–90°):
2θ (°)  I/Imax
28.46  24
31.79  24
32.69  100
43.19  16
50.45  13
57.21  20
60.88  15
61.33  11

---

# 6
Pr5Dy2Er4: computed PXRD pattern (copper Kα), based on a GGA-PBE-relaxed structure.
Kinematic intensities with the Lorentz-polarization factor, no thermal factor.

Crystal structure
a = 12.057 Å, b = 12.057 Å, c = 9.402 Å
α = 112.57°, β = 112.57°, γ = 17.29°
Fractional coordinates of all 11 atoms:
1 Pr 0.000 0.000 0.000
2 Pr 0.365 0.365 0.934
3 Pr 0.387 0.387 0.576
4 Pr 0.613 0.613 0.424
5 Pr 0.635 0.635 0.066
6 Dy 0.234 0.234 0.345
7 Dy 0.766 0.766 0.655
8 Er 0.186 0.186 0.824
9 Er 0.454 0.454 0.300
10 Er 0.546 0.546 0.700
11 Er 0.814 0.814 0.176

Main lines, in order of rising 2θ (2θ = 10–90°):
2θ (°)  I/Imax
24.88  28
28.76  56
29.95  55
31.04  72
31.09  69
31.44  100
32.01  57
57.30  31

---

# 7
Pr6Dy2Er: computed PXRD pattern (copper Kα), based on a GGA-PBE-relaxed structure.
Kinematic intensities with the Lorentz-polarization factor, no thermal factor.

Crystal structure
a = 10.114 Å, b = 10.114 Å, c = 3.684 Å
α = 90.00°, β = 90.00°, γ = 124.01°
Fractional coordinates of all 9 atoms:
1 Pr 0.009 0.341 0.000
2 Pr 0.185 0.185 0.500
3 Pr 0.341 0.009 0.000
4 Pr 0.659 0.991 0.000
5 Pr 0.815 0.815 0.500
6 Pr 0.991 0.659 0.000
7 Dy 0.325 0.675 0.500
8 Dy 0.675 0.325 0.500
9 Er 0.500 0.500 0.000

Main lines, in order of rising 2θ (2θ = 10–90°):
2θ (°)  I/Imax
28.64  36
30.03  100
32.35  36
36.86  20
37.98  19
51.59  11
53.31  12
56.68  18

---

# 8
Pr2Dy5Er6: computed PXRD pattern (copper Kα), based on a GGA-PBE-relaxed structure.
Kinematic intensities with the Lorentz-polarization factor, no thermal factor.

Crystal structure
a = 11.670 Å, b = 20.169 Å, c = 3.568 Å
α = 90.00°, β = 90.00°, γ = 90.00°
Fractional coordinates of all 26 atoms:
1 Pr 0.168 0.217 0.000
2 Pr 0.332 0.717 0.000
3 Pr 0.668 0.283 0.000
4 Pr 0.832 0.783 0.000
5 Dy 0.000 0.500 0.500
6 Dy 0.093 0.779 0.500
7 Dy 0.200 0.051 0.500
8 Dy 0.300 0.551 0.500
9 Dy 0.407 0.279 0.500
10 Dy 0.500 0.000 0.500
11 Dy 0.593 0.721 0.500
12 Dy 0.700 0.449 0.500
13 Dy 0.800 0.949 0.500
14 Dy 0.907 0.221 0.500
15 Er 0.059 0.923 0.000
16 Er 0.078 0.635 0.000
17 Er 0.180 0.375 0.500
18 Er 0.320 0.875 0.500
19 Er 0.422 0.135 0.000
20 Er 0.441 0.423 0.000
21 Er 0.559 0.577 0.000
22 Er 0.578 0.865 0.000
23 Er 0.680 0.125 0.500
24 Er 0.820 0.625 0.500
25 Er 0.922 0.365 0.000
26 Er 0.941 0.077 0.000

Main lines, in order of rising 2θ (2θ = 10–90°):
2θ (°)  I/Imax
30.97  58
31.66  43
31.98  99
32.28  100
34.41  41
35.29  28
36.70  28
61.66  33